Starting from a cell relaxed with GGA-PBE, the powder diffraction line list of Pu2HCl2 was simulated for CuKα.
Peak positions follow from Bragg's law for the DFT cell and can differ from measured ones.

Top 10 peaks for 15 to 90 degrees two-theta, most intense first:
29.20°, I = 100, (2 1 1); 28.99°, I = 93, (0 2 1); 26.34°, I = 83, (2 1 -1); 44.21°, I = 48, (2 3 0); 27.17°, I = 36, (0 0 2); 24.19°, I = 25, (2 1 0); 54.46°, I = 25, (0 4 1); 43.21°, I = 24, (1 1 -3); 38.88°, I = 24, (2 1 2); 38.57°, I = 23, (3 0 -2)

Atomic structure:
a b c (Å): 8.743 6.977 6.628
angles (deg): 90.00 97.99 90.00
Space group P2_1/c (No. 14)
Unique sites:
1 Pu 0.093 0.096 0.316 [4 per cell]
2 Pu 0.364 0.576 0.272 [4 per cell]
3 H 0.131 0.094 0.676 [4 per cell]
4 Cl 0.143 0.695 0.523 [4 per cell]
5 Cl 0.408 0.213 0.467 [4 per cell]


Starting from a cell relaxed with GGA-PBE, the powder diffraction line list of Sn2SbPt9 was simulated for CuKα.
Peak positions follow from Bragg's law for the DFT cell and can differ from measured ones.

Top 10 peaks for 15 to 90 degrees two-theta, most intense first:
38.32°, I = 100, (1 1 3); 44.48°, I = 33, (2 0 0); 77.78°, I = 26, (3 1 3); 64.87°, I = 22, (2 0 6); 44.68°, I = 16, (0 0 6); 78.07°, I = 13, (1 1 9); 82.06°, I = 12, (2 2 6); 64.72°, I = 11, (2 2 0); 21.85°, I = 3, (1 0 0); 31.09°, I = 3, (1 1 0)

Atomic structure:
a b c (Å): 4.074 4.074 12.170
angles (deg): 90.00 90.00 90.00
Space group P4/mmm (No. 123)
Unique sites:
1 Sn 0.000 0.000 0.165 [2 per cell]
2 Sb 0.000 0.000 0.500 [1 per cell]
3 Pt 0.000 0.500 0.000 [2 per cell]
4 Pt 0.000 0.500 0.332 [4 per cell]
5 Pt 0.500 0.500 0.167 [2 per cell]
6 Pt 0.500 0.500 0.500 [1 per cell]


Starting from a cell relaxed with GGA-PBE, the powder diffraction line list of TmThSbTe was simulated for CuKα.
Peak positions follow from Bragg's law for the DFT cell and can differ from measured ones.

Top 10 peaks for 15 to 90 degrees two-theta, most intense first:
40.84°, I = 100, (2 0 0); 28.60°, I = 86, (1 1 0); 28.50°, I = 44, (0 0 2); 50.60°, I = 36, (2 0 2); 67.03°, I = 31, (3 1 0); 74.42°, I = 23, (3 1 2); 66.84°, I = 16, (1 1 4); 24.68°, I = 13, (1 0 1); 74.26°, I = 12, (2 0 4); 59.22°, I = 11, (2 2 0)

Atomic structure:
a b c (Å): 4.413 4.413 6.264
angles (deg): 90.00 90.00 90.00
Space group P4/mmm (No. 123)
Unique sites:
1 Tm 0.000 0.000 0.000 [1 per cell]
2 Th 0.500 0.500 0.500 [1 per cell]
3 Sb 0.500 0.500 0.000 [1 per cell]
4 Te 0.000 0.000 0.500 [1 per cell]


Starting from a cell relaxed with GGA-PBE, the powder diffraction line list of LaAl2Pd6 was simulated for CuKα.
Peak positions follow from Bragg's law for the DFT cell and can differ from measured ones.

Top 10 peaks for 15 to 90 degrees two-theta, most intense first:
31.57°, I = 100, (4 0 0); 45.26°, I = 96, (4 4 0); 74.94°, I = 32, (8 4 0); 83.58°, I = 32, (8 4 4); 56.23°, I = 25, (4 4 4); 26.07°, I = 19, (3 1 1); 65.93°, I = 15, (8 0 0); 41.39°, I = 7, (5 1 1); 22.18°, I = 6, (2 2 0); 62.99°, I = 5, (5 5 3)

Atomic structure:
a b c (Å): 11.334 11.334 11.334
angles (deg): 90.00 90.00 90.00
Space group Fd-3m (No. 227, origin choice 2)
Unique sites:
1 La 0.125 0.125 0.125 [8 per cell]
2 Al 0.000 0.000 0.500 [16 per cell]
3 Pd 0.125 0.125 0.375 [48 per cell]


Starting from a cell relaxed with GGA-PBE, the powder diffraction line list of Sm2AuSe was simulated for CuKα.
Peak positions follow from Bragg's law for the DFT cell and can differ from measured ones.

Top 10 peaks for 15 to 90 degrees two-theta, most intense first:
30.39°, I = 100, (0 8 0); 40.59°, I = 49, (1 7 1); 32.26°, I = 22, (1 3 1); 41.33°, I = 22, (0 0 2); 35.79°, I = 20, (1 5 1); 44.85°, I = 17, (2 0 0); 52.19°, I = 16, (0 8 2); 55.17°, I = 14, (2 8 0); 71.21°, I = 13, (2 8 2); 62.62°, I = 13, (2 0 2)

Atomic structure:
a b c (Å): 4.042 23.492 4.369
angles (deg): 90.00 90.00 90.00
Space group Cmcm (No. 63)
Unique sites:
1 Sm 0.000 0.067 0.250 [4 per cell]
2 Sm 0.000 0.317 0.250 [4 per cell]
3 Au 0.000 0.455 0.250 [4 per cell]
4 Se 0.000 0.192 0.250 [4 per cell]


Starting from a cell relaxed with GGA-PBE, the powder diffraction line list of RbLi3Hg4Cl12 was simulated for CuKα.
Peak positions follow from Bragg's law for the DFT cell and can differ from measured ones.

Top 10 peaks for 15 to 90 degrees two-theta, most intense first:
16.88°, I = 100, (0 2 1); 23.27°, I = 91, (2 0 2); 27.72°, I = 43, (0 0 3); 20.91°, I = 38, (2 1 1); 26.38°, I = 32, (1 2 2); 24.64°, I = 32, (2 2 0); 45.24°, I = 28, (5 2 0); 27.30°, I = 28, (1 3 1); 40.59°, I = 26, (5 0 2); 32.79°, I = 26, (4 1 0)

Atomic structure:
a b c (Å): 14.4544 14.4544 9.6556
angles (deg): 90.00 90.00 120.00
Space group R32 (No. 155, hexagonal axes)
Unique sites:
1 Rb 0.0000 0.0000 0.0000 [3 per cell]
2 Li 0.0000 0.5618 0.0000 [9 per cell]
3 Hg 0.0000 0.0000 0.5000 [3 per cell]
4 Hg 0.0000 0.4385 0.5000 [9 per cell]
5 Cl 0.0000 0.6074 0.5000 [9 per cell]
6 Cl 0.0000 0.8303 0.5000 [9 per cell]
7 Cl 0.0675 0.2314 0.1709 [18 per cell]